Record 1
# FeReBO
Computed powder diffractogram, Cu Ka. Input: a PBE+U-relaxed structure.

Peak list (12 most intense, 2θ = 5–70°, low angle first)
d_spacing	Position (°2θ)	Rel. int.
5.566	15.92	100.0
3.034	29.44	88.0
2.942	30.38	22.3
2.783	32.16	49.4
2.664	33.64	26.3
2.601	34.48	91.6
2.112	42.82	22.3
2.051	44.16	40.8
2.022	44.83	22.6
1.975	45.96	90.0
1.682	54.55	28.4
1.394	67.16	21.5

```
FeReBO
1.0
2.9418 0.0000 0.0000
0.0000 3.0339 0.0000
0.0000 0.0000 5.5659
Fe Re B O
1 1 1 1
Direct
0.0000 0.0000 0.0000
0.5000 0.0000 0.4160
0.0000 0.5000 0.3152
0.5000 0.0000 0.7661
```

=====

Record 2
# TbFe3B4O12
Computed powder diffractogram, Cu Ka. Input: a PBE+U-relaxed structure.

Peak list (12 most intense, 2θ = 5–70°, low angle first)
d_spacing	Position (°2θ)	Rel. int.
5.643	15.70	32.1
4.819	18.41	25.6
3.665	24.29	81.5
2.917	30.65	27.3
2.821	31.71	100.0
2.435	36.92	18.1
2.410	37.32	25.8
2.216	40.71	14.0
2.013	45.02	17.1
1.981	45.80	20.4
1.752	52.20	29.8
1.740	52.60	20.2

```
TbFe3B4O12
1.0
4.8195 2.7825 2.5525
-4.8195 2.7825 2.5525
0.0000 -5.5651 2.5525
Tb Fe B O
1 3 4 12
Direct
0.0000 0.0000 0.0000
0.0000 0.4506 0.5494
0.4506 0.5494 0.0000
0.5494 0.0000 0.4506
0.0513 0.9487 0.5000
0.5000 0.0513 0.9487
0.5000 0.5000 0.5000
0.9487 0.5000 0.0513
0.0294 0.7953 0.6324
0.0921 0.5000 0.9079
0.2047 0.9706 0.3676
0.3564 0.5000 0.6436
0.3676 0.2047 0.9706
0.5000 0.6436 0.3564
0.5000 0.9079 0.0921
0.6324 0.0294 0.7953
0.6436 0.3564 0.5000
0.7953 0.6324 0.0294
0.9079 0.0921 0.5000
0.9706 0.3676 0.2047
```

=====

Record 3
# TbFe3B4O12
Computed powder diffractogram, Cu Ka. Input: a PBE+U-relaxed structure.

Peak list (12 most intense, 2θ = 5–70°, low angle first)
d_spacing	Position (°2θ)	Rel. int.
5.639	15.72	33.2
4.811	18.44	26.3
3.660	24.32	83.4
2.913	30.69	26.7
2.819	31.74	100.0
2.432	36.96	18.3
2.405	37.39	26.1
2.212	40.78	14.3
2.010	45.10	18.1
1.979	45.86	20.0
1.751	52.25	30.4
1.740	52.61	19.5

```
TbFe3B4O12
1.0
9.6217 0.0000 0.0000
-4.8108 8.3326 0.0000
0.0000 0.0000 7.6583
Tb Fe B O
3 9 12 36
Direct
0.0000 0.3349 0.1667
0.3349 0.0000 0.8333
0.6651 0.6651 0.5000
0.0000 0.8848 0.1667
0.1152 0.1152 0.5000
0.2127 0.6637 0.4890
0.3363 0.5490 0.8224
0.4510 0.7873 0.1557
0.5490 0.3363 0.1776
0.6637 0.2127 0.5110
0.7873 0.4510 0.8443
0.8848 0.0000 0.8333
0.0000 0.3319 0.6667
0.0000 0.7781 0.6667
0.1238 0.6759 0.9863
0.2219 0.2219 0.0000
0.3241 0.4480 0.3196
0.3319 0.0000 0.3333
0.4480 0.3241 0.6804
0.5520 0.8762 0.6529
0.6681 0.6681 0.0000
0.6759 0.1238 0.0137
0.7781 0.0000 0.3333
0.8762 0.5520 0.3471
0.0000 0.1882 0.6667
0.0000 0.9218 0.6667
0.0096 0.5348 0.3513
0.0782 0.0782 0.0000
0.1221 0.8171 0.0116
0.1446 0.4747 0.6581
0.1472 0.7855 0.6485
0.1829 0.3051 0.3449
0.1882 0.0000 0.3333
0.2145 0.3616 0.9818
0.2748 0.6932 0.9630
0.3051 0.1829 0.6551
0.3068 0.5816 0.2964
0.3301 0.8554 0.3247
0.3616 0.2145 0.0182
0.4184 0.7252 0.6297
0.4652 0.4748 0.6847
0.4747 0.1446 0.3419
0.4748 0.4652 0.3153
0.5253 0.6699 0.9914
0.5252 0.9904 0.0180
0.5348 0.0096 0.6487
0.5816 0.3068 0.7036
0.6384 0.8528 0.3151
0.6699 0.5253 0.0086
0.6932 0.2748 0.0370
0.6949 0.8779 0.6782
0.7252 0.4184 0.3703
0.7855 0.1472 0.3515
0.8118 0.8118 0.0000
0.8171 0.1221 0.9884
0.8528 0.6384 0.6849
0.8554 0.3301 0.6753
0.8779 0.6949 0.3218
0.9218 0.0000 0.3333
0.9904 0.5252 0.9820
```

=====

Record 4
# YFe3B4O12
Computed powder diffractogram, Cu Ka. Input: a PBE+U-relaxed structure.

Peak list (12 most intense, 2θ = 5–70°, low angle first)
d_spacing	Position (°2θ)	Rel. int.
4.810	18.45	15.5
3.659	24.33	66.4
2.912	30.70	22.2
2.818	31.75	100.0
2.405	37.39	20.6
2.254	40.00	7.8
2.010	45.11	14.6
1.978	45.87	28.0
1.830	49.84	8.4
1.750	52.27	26.5
1.739	52.63	18.4
1.603	57.48	8.9

```
YFe3B4O12
1.0
9.6201 0.0000 0.0000
-4.8101 8.3313 0.0000
0.0000 0.0000 7.6554
Y Fe B O
3 9 12 36
Direct
0.0000 0.6650 0.1667
0.3350 0.3350 0.5000
0.6650 0.0000 0.8333
0.0000 0.1152 0.1667
0.1152 0.0000 0.8333
0.2128 0.5489 0.8439
0.3361 0.7872 0.5106
0.4511 0.6639 0.1772
0.5489 0.2128 0.1561
0.6639 0.4511 0.8228
0.7872 0.3361 0.4894
0.8848 0.8848 0.5000
0.0000 0.2216 0.6667
0.0000 0.6681 0.6667
0.1236 0.4480 0.3466
0.2216 0.0000 0.3333
0.3244 0.8764 0.0132
0.3319 0.3319 0.0000
0.4480 0.1236 0.6534
0.5520 0.6756 0.6799
0.6681 0.0000 0.3333
0.6756 0.5520 0.3201
0.7784 0.7784 0.0000
0.8764 0.3244 0.9868
0.0000 0.0779 0.6667
0.0000 0.8118 0.6667
0.0102 0.4751 0.9824
0.0779 0.0000 0.3333
0.1224 0.3052 0.3221
0.1445 0.6698 0.6750
0.1473 0.3614 0.6844
0.1828 0.8776 0.9887
0.1882 0.1882 0.0000
0.2141 0.8527 0.3510
0.2743 0.5822 0.3689
0.3052 0.1224 0.6779
0.3079 0.7257 0.0355
0.3302 0.4748 0.0083
0.3614 0.1473 0.3156
0.4178 0.6921 0.7022
0.4649 0.9898 0.6491
0.4751 0.0102 0.0176
0.4748 0.3302 0.9917
0.5249 0.5351 0.3158
0.5252 0.8555 0.3417
0.5351 0.5249 0.6842
0.5822 0.2743 0.6311
0.6386 0.7859 0.0177
0.6698 0.1445 0.3250
0.6921 0.4178 0.2978
0.6948 0.8172 0.6554
0.7257 0.3079 0.9645
0.7859 0.6386 0.9823
0.8118 0.0000 0.3333
0.8172 0.6948 0.3446
0.8527 0.2141 0.6490
0.8555 0.5252 0.6583
0.8776 0.1828 0.0113
0.9221 0.9221 0.0000
0.9898 0.4649 0.3509
```

=====

Record 5
# YFe3B4O12
Computed powder diffractogram, Cu Ka. Input: a PBE+U-relaxed structure.

Peak list (12 most intense, 2θ = 5–70°, low angle first)
d_spacing	Position (°2θ)	Rel. int.
4.818	18.42	15.3
3.664	24.30	64.6
2.916	30.66	22.8
2.821	31.72	100.0
2.409	37.33	20.4
2.013	45.04	13.6
1.981	45.82	29.0
1.832	49.78	7.9
1.752	52.22	26.0
1.740	52.61	19.1
1.606	57.38	9.2
1.475	63.03	8.0

```
YFe3B4O12
1.0
4.8178 2.7815 2.5518
-4.8178 2.7815 2.5518
0.0000 -5.5631 2.5518
Y Fe B O
1 3 4 12
Direct
0.0000 0.0000 0.0000
0.0000 0.5494 0.4506
0.4506 0.0000 0.5494
0.5494 0.4506 0.0000
0.0511 0.5000 0.9489
0.5000 0.5000 0.5000
0.5000 0.9489 0.0511
0.9489 0.0511 0.5000
0.0294 0.6328 0.7957
0.0923 0.9077 0.5000
0.2043 0.3672 0.9706
0.3564 0.6436 0.5000
0.3672 0.9706 0.2043
0.5000 0.0923 0.9077
0.5000 0.3564 0.6436
0.6328 0.7957 0.0294
0.6436 0.5000 0.3564
0.7957 0.0294 0.6328
0.9077 0.5000 0.0923
0.9706 0.2043 0.3672
```

=====

Record 6
# ZnFeBO4
Computed powder diffractogram, Cu Ka. Input: a PBE+U-relaxed structure.

Peak list (12 most intense, 2θ = 5–70°, low angle first)
d_spacing	Position (°2θ)	Rel. int.
6.666	13.28	19.7
4.228	21.01	38.6
2.993	29.85	25.9
2.627	34.13	100.0
2.620	34.23	43.9
2.610	34.37	21.5
2.534	35.42	18.6
2.238	40.30	18.7
2.015	44.99	19.2
1.820	50.13	20.2
1.619	56.87	23.9
1.528	60.58	19.5

```
ZnFeBO4
1.0
3.1714 0.0000 0.0000
0.0000 9.4740 0.0000
0.0000 0.0000 9.3804
Zn Fe B O
4 4 4 16
Direct
0.0000 0.0551 0.0000
0.0000 0.3160 0.5159
0.0000 0.6840 0.0159
0.0000 0.9449 0.5000
0.5000 0.1780 0.2804
0.5000 0.4438 0.7960
0.5000 0.5562 0.2960
0.5000 0.8220 0.7804
0.0000 0.3739 0.0668
0.0000 0.6261 0.5668
0.5000 0.1303 0.7407
0.5000 0.8697 0.2407
0.0000 0.1327 0.3995
0.0000 0.2441 0.1334
0.0000 0.3849 0.9194
0.0000 0.4991 0.1471
0.0000 0.5009 0.6471
0.0000 0.6151 0.4194
0.0000 0.7559 0.6334
0.0000 0.8673 0.8995
0.5000 0.0043 0.6617
0.5000 0.1282 0.8855
0.5000 0.2621 0.6705
0.5000 0.3698 0.3763
0.5000 0.6302 0.8763
0.5000 0.7379 0.1705
0.5000 0.8718 0.3855
0.5000 0.9957 0.1617
```